Starting from the PBE geometry in Alexandria, the powder diffraction line list of TbPmPr2Pt2 was computed for Cu Kα (weighted mean of Kα1 and Kα2).

Crystal structure
```
TbPmPr2Pt2
1.0
-3.4618 7.1646 3.4598
3.4618 -7.1646 3.4598
3.4618 7.1646 -3.4598
Tb Pm Pr Pt
2 2 4 4
Direct
0.2500 0.2500 0.0000
0.7500 0.7500 0.0000
0.2500 0.7500 0.5000
0.7500 0.2500 0.5000
0.1922 0.2134 0.4057
0.3078 0.7134 0.0212
0.6922 0.2866 0.9788
0.8078 0.7866 0.5943
0.1100 0.7654 0.8754
0.3900 0.2654 0.6553
0.6100 0.7346 0.3447
0.8900 0.2346 0.1246
```

Most intense lines, 10° ≤ 2θ ≤ 90°, sorted by position:
- 25.74 deg, I 34
- 28.65 deg, I 84
- 30.93 deg, I 62
- 36.09 deg, I 94
- 36.72 deg, I 100
- 42.10 deg, I 47
- 48.76 deg, I 30
- 52.92 deg, I 33
- 57.08 deg, I 35
- 65.72 deg, I 33



Starting from the PBE geometry in Alexandria, the powder diffraction line list of HoHgBPt4 was computed for Cu Kα (weighted mean of Kα1 and Kα2).

Crystal structure
```
HoHgBPt4
1.0
0.0000 5.2645 5.2645
5.2645 0.0000 5.2645
5.2645 5.2645 0.0000
Ho Hg B Pt
1 1 1 4
Direct
0.0000 0.0000 0.0000
0.2500 0.2500 0.2500
0.7500 0.7500 0.7500
0.4280 0.8573 0.8573
0.8573 0.4280 0.8573
0.8573 0.8573 0.4280
0.8573 0.8573 0.8573
```

Most intense lines, 10° ≤ 2θ ≤ 90°, sorted by position:
- 14.57 deg, I 100
- 23.90 deg, I 52
- 28.11 deg, I 70
- 29.39 deg, I 63
- 37.22 deg, I 62
- 42.04 deg, I 30
- 44.72 deg, I 61
- 48.94 deg, I 46
- 63.05 deg, I 19
- 66.45 deg, I 21



Starting from the PBE geometry in Alexandria, the powder diffraction line list of Ba2MgHg3Sb4 was computed for Cu Kα (weighted mean of Kα1 and Kα2).

Crystal structure
```
Ba2MgHg3Sb4
1.0
4.6716 0.0000 0.0000
0.0000 4.6716 0.0000
0.0000 0.0000 14.4545
Ba Mg Hg Sb
2 1 3 4
Direct
0.0000 0.5000 0.2454
0.5000 0.0000 0.7546
0.0000 0.0000 0.5000
0.0000 0.5000 0.8522
0.5000 0.0000 0.1478
0.5000 0.5000 0.5000
0.0000 0.0000 0.0000
0.0000 0.5000 0.6307
0.5000 0.0000 0.3693
0.5000 0.5000 0.0000
```

Most intense lines, 10° ≤ 2θ ≤ 90°, sorted by position:
- 19.97 deg, I 29
- 26.58 deg, I 60
- 29.74 deg, I 100
- 36.55 deg, I 60
- 36.87 deg, I 47
- 38.54 deg, I 64
- 47.43 deg, I 25
- 54.17 deg, I 39
- 55.65 deg, I 22
- 64.37 deg, I 22